No. 1
Diffraction record for La2Cd2I. The powder XRD pattern is computed, not measured: it uses a DFT-relaxed cell (GGA-PBE, OQMD) and Cu Ka.
Neutral-atom scattering factors, no anomalous dispersion.

Largest 12 diffraction maxima, in order of rising 2θ, 2θ = 10–80°:
d [Å], Position (°2θ), I (rel.)
7.956, 11.12, 118
4.154, 21.39, 126
3.682, 24.17, 119
2.873, 31.13, 1000
2.398, 37.50, 556
2.235, 40.35, 46
1.989, 45.61, 104
1.841, 49.51, 270
1.531, 60.47, 264
1.460, 63.73, 249
1.385, 67.67, 95
1.263, 75.22, 78

Cell and atoms:
```
La2Cd2I
1.0
4.7964 0.0000 0.0000
-2.3982 4.1538 0.0000
0.0000 0.0000 7.9560
La Cd I
2 2 1
Cartesian
0.0000 0.0000 1.9283
0.0000 0.0000 6.0277
0.0000 2.7692 0.0000
2.3982 1.3846 0.0000
2.3982 1.3846 3.9780
```

=====

No. 2
Diffraction record for La2Al2W. The powder XRD pattern is computed, not measured: it uses a DFT-relaxed cell (GGA-PBE, OQMD) and Cu Ka.
Neutral-atom scattering factors, no anomalous dispersion.

Largest 12 diffraction maxima, in order of rising 2θ, 2θ = 10–80°:
d [Å], Position (°2θ), I (rel.)
4.305, 20.63, 895
2.968, 30.11, 367
2.898, 30.86, 699
2.810, 31.85, 1000
2.684, 33.39, 604
2.317, 38.86, 581
2.216, 40.72, 675
1.880, 48.42, 216
1.810, 50.42, 273
1.577, 58.52, 296
1.504, 61.65, 184
1.448, 64.33, 265

Cell and atoms:
```
La2Al2W
1.0
0.0000 9.0842 2.3981
5.7954 0.0000 2.3981
5.7954 9.0842 0.0000
La Al W
4 4 2
Cartesian
3.0039 1.2422 1.1990
5.9016 3.2999 2.3981
2.7915 7.8420 1.1990
5.6891 14.8684 2.3981
5.6626 7.8313 2.4263
5.9281 10.3371 2.4263
8.8258 12.3734 3.6254
8.5603 14.8792 3.6254
5.7954 9.0842 0.0251
2.8977 4.5421 1.2241
```

=====

No. 3
Diffraction record for TeWSe3Br. The powder XRD pattern is computed, not measured: it uses a DFT-relaxed cell (GGA-PBE, OQMD) and Cu Ka.
Neutral-atom scattering factors, no anomalous dispersion.

Largest 12 diffraction maxima, in order of rising 2θ, 2θ = 10–80°:
d [Å], Position (°2θ), I (rel.)
7.158, 12.37, 684
6.583, 13.45, 1000
6.449, 13.73, 523
3.952, 22.50, 108
2.901, 30.82, 128
2.749, 32.57, 118
2.732, 32.78, 179
2.712, 33.03, 140
2.568, 34.94, 139
2.534, 35.43, 177
2.093, 43.22, 114
1.957, 46.40, 121

Cell and atoms:
```
TeWSe3Br
1.0
6.5336 0.0000 0.0000
-1.3703 7.3194 0.0000
-1.9339 -3.8411 7.1580
Te W Se Br
2 2 6 2
Cartesian
-0.0018 -0.1906 2.1782
3.2312 3.6689 4.9798
1.8338 -0.0008 0.0016
2.7659 -3.8403 7.1564
-1.9332 -1.9236 6.8781
-0.0352 1.7657 5.8894
1.3299 -2.0714 5.9566
1.8996 5.5497 1.2014
3.2646 1.7126 1.2686
5.1627 5.4019 0.2799
-0.0271 2.7043 3.1979
3.2565 0.7740 3.9601
```

=====

No. 4
Diffraction record for ZrF4. The powder XRD pattern is computed, not measured: it uses a DFT-relaxed cell (GGA-PBE, OQMD) and Cu Ka.
Neutral-atom scattering factors, no anomalous dispersion.

Largest 12 diffraction maxima, in order of rising 2θ, 2θ = 10–80°:
d [Å], Position (°2θ), I (rel.)
3.859, 23.05, 773
3.823, 23.26, 481
3.617, 24.62, 625
3.412, 26.11, 1000
3.267, 27.30, 362
3.031, 29.47, 348
2.989, 29.89, 238
1.904, 47.78, 308
1.895, 48.00, 308
1.785, 51.16, 423
1.765, 51.80, 274
1.740, 52.61, 268

Cell and atoms:
```
ZrF4
1.0
5.8625 -4.9513 0.0000
5.8625 4.9513 0.0000
-4.5853 0.0000 6.1606
Zr F
6 24
Cartesian
2.4235 2.8450 4.6204
2.6834 0.7163 1.0300
0.3907 -0.7163 4.1102
6.7490 0.7163 2.0503
4.4563 -0.7163 5.1306
4.7162 -2.8450 1.5401
2.9312 2.4756 0.0000
0.5254 3.4075 5.2805
-0.7438 0.4686 2.7745
-3.0365 -0.4686 5.8548
2.5898 2.1114 2.6034
-0.7321 0.3128 5.4898
1.1747 1.1936 4.4184
4.3216 3.4075 3.9603
1.5605 -0.3128 2.4095
4.7162 1.1118 1.5401
6.8426 2.1114 0.4769
3.6723 1.1936 4.8225
0.6386 -2.4756 3.0803
3.4674 -1.1936 1.3381
0.2971 -2.1114 5.6837
2.4235 -1.1118 4.6204
5.5792 0.3128 3.7510
2.8180 -3.4075 2.2003
5.9650 -1.1936 1.7422
7.8718 -0.3128 0.6708
4.5499 -2.1114 3.5572
10.1761 0.4686 0.3058
7.8835 -0.4686 3.3861
6.6143 -3.4075 0.8800
```

=====

No. 5
Diffraction record for HfCu2Te2S. The powder XRD pattern is computed, not measured: it uses a DFT-relaxed cell (GGA-PBE, OQMD) and Cu Ka.
Neutral-atom scattering factors, no anomalous dispersion.

Largest 12 diffraction maxima, in order of rising 2θ, 2θ = 10–80°:
d [Å], Position (°2θ), I (rel.)
7.093, 12.48, 404
6.132, 14.45, 499
5.387, 16.46, 476
3.910, 22.74, 368
3.396, 26.24, 717
3.066, 29.13, 517
2.982, 29.97, 1000
2.299, 39.18, 420
2.240, 40.26, 697
2.099, 43.09, 360
2.048, 44.22, 949
1.996, 45.43, 552

Cell and atoms:
```
HfCu2Te2S
1.0
9.7784 -1.9963 0.0000
9.7784 1.9963 0.0000
-0.9675 0.0000 7.0928
Hf Cu Te S
2 4 4 2
Cartesian
2.6539 0.0000 0.3466
15.9355 0.0000 6.7462
3.7312 0.0000 3.0088
8.1675 0.0000 5.9376
10.4219 0.0000 1.1552
14.8581 0.0000 4.0840
1.1590 0.0000 2.7026
4.1495 0.0000 5.5947
14.4399 0.0000 1.4981
17.4303 0.0000 4.3901
8.0205 0.0000 0.8961
10.5688 0.0000 6.1966
```

=====

No. 6
Diffraction record for Cs2CoSeS2. The powder XRD pattern is computed, not measured: it uses a DFT-relaxed cell (GGA-PBE, OQMD) and Cu Ka.
Neutral-atom scattering factors, no anomalous dispersion.

Largest 12 diffraction maxima, in order of rising 2θ, 2θ = 10–80°:
d [Å], Position (°2θ), I (rel.)
4.357, 20.38, 210
3.612, 24.65, 1000
3.376, 26.40, 161
3.325, 26.81, 460
3.306, 26.97, 427
2.730, 32.81, 278
2.631, 34.08, 189
2.446, 36.74, 294
2.438, 36.86, 226
2.086, 43.38, 204
1.806, 50.54, 230
1.586, 58.18, 178

Cell and atoms:
```
Cs2CoSeS2
1.0
6.8430 -3.6112 0.0000
6.8430 3.6112 0.0000
-5.4393 0.0000 8.3258
Cs Co Se S
4 2 2 4
Cartesian
-0.8949 0.0000 2.9478
3.1052 0.0000 1.4727
5.1415 0.0000 6.8531
9.1415 0.0000 5.3780
0.8416 0.0000 7.0302
7.4050 0.0000 1.2955
2.0029 0.0000 5.1055
6.2437 0.0000 3.2203
-1.1847 0.0000 6.4659
6.8430 1.6090 0.0000
6.8430 -1.6090 0.0000
9.4313 0.0000 1.8598
```

=====

No. 7
Diffraction record for Cu4Ag3. The powder XRD pattern is computed, not measured: it uses a DFT-relaxed cell (GGA-PBE, OQMD) and Cu Ka.
Neutral-atom scattering factors, no anomalous dispersion.

Largest 12 diffraction maxima, in order of rising 2θ, 2θ = 10–80°:
d [Å], Position (°2θ), I (rel.)
7.737, 11.44, 70
3.095, 28.85, 79
2.389, 37.65, 34
2.250, 40.07, 1000
2.211, 40.81, 334
1.940, 46.82, 598
1.583, 58.30, 45
1.381, 67.85, 194
1.363, 68.90, 145
1.330, 70.82, 34
1.290, 73.43, 13
1.261, 75.35, 28

Cell and atoms:
```
Cu4Ag3
1.0
1.3813 0.7975 15.4749
-1.3813 0.7975 15.4749
0.0000 -1.5950 15.4749
Cu Ag
4 3
Cartesian
0.0000 0.0000 3.4955
0.0000 0.0000 10.0054
0.0000 0.0000 36.4194
0.0000 0.0000 42.9293
0.0000 0.0000 16.7305
0.0000 0.0000 23.2124
0.0000 0.0000 29.6943
```

=====

No. 8
Diffraction record for BaSiAu3. The powder XRD pattern is computed, not measured: it uses a DFT-relaxed cell (GGA-PBE, OQMD) and Cu Ka.
Neutral-atom scattering factors, no anomalous dispersion.

Largest 12 diffraction maxima, in order of rising 2θ, 2θ = 10–80°:
d [Å], Position (°2θ), I (rel.)
5.363, 16.53, 73
4.166, 21.33, 115
2.815, 31.78, 1000
2.681, 33.42, 108
2.591, 34.63, 72
2.485, 36.14, 76
2.339, 38.49, 427
2.083, 43.44, 132
1.987, 45.66, 80
1.763, 51.87, 126
1.654, 55.57, 148
1.426, 65.45, 257

Cell and atoms:
```
BaSiAu3
1.0
5.3629 0.0000 0.0000
0.0000 4.6783 4.6776
0.0000 -4.6783 4.6776
Ba Si Au
2 2 6
Cartesian
0.0000 0.0000 0.0000
0.0000 0.0000 4.6776
1.6592 2.3392 2.3503
3.7037 -2.3392 2.3503
0.8096 -2.3392 2.3459
2.6815 0.0000 2.3248
2.6841 -2.3392 4.6866
2.6815 0.0000 7.0024
2.6788 2.3392 4.6866
4.5533 2.3392 2.3459
```

=====

No. 9
Diffraction record for ZnW3CN. The powder XRD pattern is computed, not measured: it uses a DFT-relaxed cell (GGA-PBE, OQMD) and Cu Ka.
Neutral-atom scattering factors, no anomalous dispersion.

Largest 12 diffraction maxima, in order of rising 2θ, 2θ = 10–80°:
d [Å], Position (°2θ), I (rel.)
3.383, 26.35, 207
2.537, 35.38, 321
2.478, 36.25, 398
2.425, 37.08, 127
2.240, 40.26, 1000
2.127, 42.51, 459
1.674, 54.86, 234
1.575, 58.61, 128
1.442, 64.66, 276
1.400, 66.81, 131
1.253, 75.91, 229
1.212, 78.98, 139

Cell and atoms:
```
ZnW3CN
1.0
2.8832 0.0000 0.0000
-1.4416 2.4969 0.0000
0.0000 0.0000 20.2961
Zn W C N
2 6 2 2
Cartesian
0.0000 0.0000 5.0122
0.0000 0.0000 15.2839
0.0000 0.0000 0.0000
0.0000 0.0000 10.1480
0.0000 1.6646 13.0637
0.0000 1.6646 17.5454
1.4416 0.8323 2.7507
1.4416 0.8323 7.2323
0.0000 1.6646 1.4262
1.4416 0.8323 18.8699
0.0000 1.6646 8.6362
1.4416 0.8323 11.6599
```

=====

No. 10
Diffraction record for Tm2Be. The powder XRD pattern is computed, not measured: it uses a DFT-relaxed cell (GGA-PBE, OQMD) and Cu Ka.
Neutral-atom scattering factors, no anomalous dispersion.

Largest 11 diffraction maxima, in order of rising 2θ, 2θ = 10–80°:
d [Å], Position (°2θ), I (rel.)
4.908, 18.07, 1000
2.563, 35.00, 658
2.454, 36.62, 739
2.125, 42.53, 353
1.950, 46.56, 269
1.636, 56.22, 227
1.503, 61.72, 253
1.437, 64.89, 201
1.296, 72.97, 79
1.282, 73.95, 289
1.227, 77.84, 81

Cell and atoms:
```
Tm2Be
1.0
0.0000 4.2508 4.2508
4.2508 0.0000 4.2508
4.2508 4.2508 0.0000
Tm Be
4 2
Cartesian
0.0000 0.0000 0.0000
2.1254 2.1254 0.0000
2.1254 0.0000 2.1254
0.0000 2.1254 2.1254
3.1881 3.1881 3.1881
5.3135 5.3135 5.3135
```

=====

No. 11
Diffraction record for Er2SiNi6. The powder XRD pattern is computed, not measured: it uses a DFT-relaxed cell (GGA-PBE, OQMD) and Cu Ka.
Neutral-atom scattering factors, no anomalous dispersion.

Largest 12 diffraction maxima, in order of rising 2θ, 2θ = 10–80°:
d [Å], Position (°2θ), I (rel.)
3.476, 25.63, 321
3.144, 28.38, 169
3.010, 29.68, 178
2.332, 38.61, 1000
2.276, 39.61, 305
2.174, 41.53, 290
2.007, 45.18, 547
1.843, 49.44, 420
1.572, 58.73, 130
1.521, 60.90, 172
1.238, 77.06, 217
1.212, 78.98, 303

Cell and atoms:
```
Er2SiNi6
1.0
6.9519 0.0000 0.0000
-3.4759 6.0205 0.0000
0.0000 0.0000 3.1444
Er Si Ni
2 1 6
Cartesian
0.0000 4.0137 0.0000
3.4759 2.0068 0.0000
0.0000 0.0000 1.5722
-0.8296 1.4369 0.0000
-2.2905 3.9673 1.5722
1.6592 0.0000 0.0000
1.1854 2.0532 1.5722
4.5810 0.0000 1.5722
2.6464 4.5836 0.0000
```

=====

No. 12
Diffraction record for Dy. The powder XRD pattern is computed, not measured: it uses a DFT-relaxed cell (GGA-PBE, OQMD) and Cu Ka.
Neutral-atom scattering factors, no anomalous dispersion.

Largest 11 diffraction maxima, in order of rising 2θ, 2θ = 10–80°:
d [Å], Position (°2θ), I (rel.)
2.880, 31.05, 1000
2.846, 31.43, 323
2.487, 36.12, 669
1.766, 51.75, 241
1.751, 52.25, 234
1.506, 61.59, 143
1.501, 61.81, 282
1.491, 62.26, 138
1.440, 64.73, 123
1.423, 65.60, 39
1.243, 76.63, 76

Cell and atoms:
```
Dy
1.0
3.5329 0.0000 0.0000
-1.7665 3.0596 0.0000
0.0000 0.0000 8.5392
Dy
3
Cartesian
0.0000 0.0000 0.0000
0.0000 2.0397 5.6928
1.7665 1.0199 2.8464
```